Starting from a crystal structure in Alexandria, relaxed with PBE+U, the powder X-ray diffraction pattern of Li3Mn2Si2O8 was calculated for Cu Kα (weighted mean of Kα1 and Kα2).

Peak list (6 most intense, 2θ from 10° to 80°, by intensity)
2theta, I_rel
21.46, 100
21.81, 95
34.12, 86
32.33, 50
31.85, 32
60.24, 25

Cell and atoms:
abc: 7.6663 7.2223 6.5826
angles: 90.00 91.35 90.00
Space group C2 (No. 5)
One atom of each set of equivalent atoms:
Li 0.0000 0.0000 0.0000 [2 per cell]
Li 0.1916 0.3099 0.2458 [4 per cell]
Mn 0.1824 0.3218 0.7341 [4 per cell]
Si 0.0000 0.6352 0.0000 [2 per cell]
Si 0.0000 0.9808 0.5000 [2 per cell]
O 0.0019 0.1110 0.2910 [4 per cell]
O 0.0031 0.4993 0.1990 [4 per cell]
O 0.1713 0.7762 0.0067 [4 per cell]
O 0.1774 0.8541 0.5077 [4 per cell]